The following is a computed XRD peak list of KMg6Sn. It was derived from a cell relaxed with PBE, using Cu Kα.

Crystal structure
```
data_KMg6Sn
_space_group_name_H-M_alt 'A m m 2'
_space_group_IT_number 38
_cell_length_a 5.265
_cell_length_b 6.826
_cell_length_c 11.733
_cell_angle_alpha 90.00
_cell_angle_beta 90.00
_cell_angle_gamma 90.00
loop_
_space_group_symop_operation_xyz
'x,y,z'
'-x,-y,z'
'-x,y,z'
'x,-y,z'
'x,y+1/2,z+1/2'
'-x,-y+1/2,z+1/2'
'-x,y+1/2,z+1/2'
'x,-y+1/2,z+1/2'
loop_
_atom_site_label
_atom_site_type_symbol
_atom_site_fract_x
_atom_site_fract_y
_atom_site_fract_z
K1 K 0.000 0.000 0.000
Mg1 Mg 0.000 0.000 0.495
Mg2 Mg 0.000 0.245 0.251
Mg3 Mg 0.500 0.000 0.665
Mg4 Mg 0.500 0.232 0.410
Sn1 Sn 0.500 0.000 0.176
```

Most intense lines, 2θ from 10° to 90°, sorted by position:
- 2θ = 15.04°, rel. 69, (0 1 1)
- 2θ = 22.66°, rel. 52, (1 0 2)
- 2θ = 30.30°, rel. 25, (0 2 2)
- 2θ = 31.36°, rel. 20, (1 1 3)
- 2θ = 34.06°, rel. 34, (2 0 0)
- 2θ = 34.86°, rel. 100, (1 2 2)
- 2θ = 35.02°, rel. 44, (1 0 4)
- 2θ = 54.03°, rel. 25, (0 2 6)
- 2θ = 61.48°, rel. 19, (3 2 2)
- 2θ = 65.44°, rel. 18, (2 2 6)